For K3CaP2HO8, a DFT-relaxed cell (GGA-PBE, Alexandria) gives the computed powder diffractogram in this record (Cu Kα X-rays).

Crystal structure
```
data_K3CaP2HO8
_chemical_formula_sum 'K6 Ca2 P4 H2 O16'
_cell_length_a 10.003
_cell_length_b 5.799
_cell_length_c 7.521
_cell_angle_alpha 90.00
_cell_angle_beta 94.64
_cell_angle_gamma 90.00
_space_group_name_H-M_alt 'C 1 2/m 1'
_space_group_IT_number 12
loop_
_space_group_symop_operation_xyz
'x,y,z'
'-x,-y,-z'
'-x,y,-z'
'x,-y,z'
'x+1/2,y+1/2,z'
'-x+1/2,-y+1/2,-z'
'-x+1/2,y+1/2,-z'
'x+1/2,-y+1/2,z'
loop_
_atom_site_label
_atom_site_type_symbol
_atom_site_fract_x
_atom_site_fract_y
_atom_site_fract_z
K1 K 0.000 0.000 0.000
K2 K 0.170 0.500 0.692
Ca1 Ca 0.000 0.000 0.500
P1 P 0.160 0.500 0.249
H1 H 0.000 0.500 0.000
O1 O 0.099 0.281 0.330
O2 O 0.120 0.500 0.041
O3 O 0.186 0.000 0.719
```

Largest 10 diffraction maxima, low angle first, 10 to 90 degrees two-theta:
(0 0 1), 2θ = 11.81°, intensity 12
(2 0 -2), 2θ = 28.62°, intensity 33
(1 1 2), 2θ = 30.35°, intensity 46
(0 2 0), 2θ = 30.84°, intensity 49
(3 1 0), 2θ = 31.01°, intensity 100
(0 0 3), 2θ = 35.95°, intensity 22
(2 2 -2), 2θ = 42.57°, intensity 58
(4 0 2), 2θ = 45.29°, intensity 16
(3 3 0), 2θ = 54.95°, intensity 12
(6 2 0), 2θ = 64.65°, intensity 14